Structure and computed XRD peak list of FeBi2Pd9 (the PBE geometry in Alexandria; Cu Kα, 1.54184 Å).
Lines closer than 0.1° are merged.

Peak list (12 most intense, 2θ = 10–80°, in order of rising 2θ)
- 2θ 26.39, intensity 5
- 2θ 34.54, intensity 5
- 2θ 37.01, intensity 3
- 2θ 38.42, intensity 100
- 2θ 44.60, intensity 34
- 2θ 44.78, intensity 14
- 2θ 59.30, intensity 3
- 2θ 64.91, intensity 11
- 2θ 65.05, intensity 19
- 2θ 70.12, intensity 4
- 2θ 78.03, intensity 25
- 2θ 78.28, intensity 9

Cell and atoms:
Lattice parameters (Å, degrees): 4.0632 4.0632 12.1432 90.00 90.00 90.00
Space group P4/mmm (No. 123)
Symmetry-distinct sites (fractional):
Fe: 0.0000 0.0000 0.0000 x1
Bi: 0.0000 0.0000 0.3221 x2
Pd: 0.0000 0.5000 0.1513 x4
Pd: 0.0000 0.5000 0.5000 x2
Pd: 0.5000 0.5000 0.0000 x1
Pd: 0.5000 0.5000 0.3300 x2

Structure and computed XRD peak list of Tb4CdTe3 (the PBE geometry in Alexandria; Cu Kα, 1.54184 Å).
Lines closer than 0.1° are merged.

Peak list (12 most intense, 2θ = 10–80°, in order of rising 2θ)
- 2θ 28.89, intensity 100
- 2θ 40.12, intensity 14
- 2θ 41.30, intensity 51
- 2θ 42.52, intensity 12
- 2θ 50.17, intensity 14
- 2θ 52.20, intensity 13
- 2θ 59.88, intensity 8
- 2θ 66.12, intensity 6
- 2θ 67.78, intensity 23
- 2θ 69.54, intensity 5
- 2θ 73.70, intensity 9
- 2θ 76.97, intensity 8

Cell and atoms:
Lattice parameters (Å, degrees): 8.9904 12.3759 4.2523 90.00 90.00 90.00
Space group Cmmm (No. 65)
Symmetry-distinct sites (fractional):
Tb: 0.0000 0.2451 0.0000 x4
Tb: 0.2434 0.0000 0.5000 x4
Cd: 0.0000 0.0000 0.0000 x2
Te: 0.0000 0.5000 0.0000 x2
Te: 0.2500 0.2500 0.5000 x4

Structure and computed XRD peak list of CuH2N2F4 (the PBE geometry in Alexandria; Cu Kα, 1.54184 Å).
Lines closer than 0.1° are merged.

Peak list (12 most intense, 2θ = 10–80°, in order of rising 2θ)
- 2θ 10.84, intensity 100
- 2θ 21.78, intensity 17
- 2θ 27.44, intensity 33
- 2θ 30.77, intensity 20
- 2θ 31.59, intensity 13
- 2θ 32.92, intensity 39
- 2θ 38.70, intensity 12
- 2θ 44.88, intensity 9
- 2θ 45.68, intensity 11
- 2θ 52.71, intensity 13
- 2θ 55.40, intensity 9
- 2θ 65.97, intensity 9

Cell and atoms:
Lattice parameters (Å, degrees): 16.3231 5.8111 4.0393 90.00 90.00 90.00
Space group Cmce (No. 64)
Symmetry-distinct sites (fractional):
Cu: 0.0000 0.0000 0.0000 x4
H: 0.2249 0.0000 0.5000 x8
N: 0.1602 0.0000 0.5000 x8
F: 0.0000 0.1814 0.3705 x8
F: 0.1603 0.0000 0.0000 x8

Structure and computed XRD peak list of PmH8Os2 (the PBE geometry in Alexandria; Cu Kα, 1.54184 Å).
Lines closer than 0.1° are merged.

Peak list (12 most intense, 2θ = 10–80°, in order of rising 2θ)
- 2θ 18.96, intensity 52
- 2θ 19.68, intensity 62
- 2θ 27.45, intensity 91
- 2θ 31.27, intensity 93
- 2θ 36.56, intensity 100
- 2θ 38.46, intensity 45
- 2θ 39.96, intensity 45
- 2θ 40.57, intensity 49
- 2θ 45.14, intensity 54
- 2θ 56.66, intensity 33
- 2θ 57.13, intensity 39
- 2θ 65.14, intensity 44

Cell and atoms:
Lattice parameters (Å, degrees): 4.6817 7.2276 5.7759 90.00 90.00 90.00
Space group Amm2 (No. 38)
Symmetry-distinct sites (fractional):
Pm: 0.0000 0.0000 0.0000 x2
H: 0.2400 0.0000 0.3733 x4
H: 0.2574 0.1637 0.7041 x8
H: 0.5000 0.1316 0.9923 x4
Os: 0.5000 0.1829 0.2891 x4

Structure and computed XRD peak list of AgSnPd3 (the PBE geometry in Alexandria; Cu Kα, 1.54184 Å).
Lines closer than 0.1° are merged.

Peak list (12 most intense, 2θ = 10–80°, in order of rising 2θ)
- 2θ 22.12, intensity 23
- 2θ 30.34, intensity 82
- 2θ 36.71, intensity 21
- 2θ 37.40, intensity 60
- 2θ 39.74, intensity 100
- 2θ 41.20, intensity 64
- 2θ 41.37, intensity 55
- 2θ 42.41, intensity 60
- 2θ 45.12, intensity 31
- 2θ 47.96, intensity 35
- 2θ 48.52, intensity 31
- 2θ 74.78, intensity 34

Cell and atoms:
Lattice parameters (Å, degrees): 5.6772 7.5032 8.7302 90.00 90.00 90.00
Space group Pnma (No. 62)
Symmetry-distinct sites (fractional):
Ag: 0.0000 0.0000 0.0000 x4
Sn: 0.1182 0.2500 0.4771 x4
Pd: 0.0976 0.7500 0.2473 x4
Pd: 0.1607 0.5673 0.7135 x8

Structure and computed XRD peak list of Li5CuH2O4 (the PBE geometry in Alexandria; Cu Kα, 1.54184 Å).
Lines closer than 0.1° are merged.

Peak list (12 most intense, 2θ = 10–80°, in order of rising 2θ)
- 2θ 16.54, intensity 36
- 2θ 18.23, intensity 94
- 2θ 23.83, intensity 50
- 2θ 29.15, intensity 77
- 2θ 29.88, intensity 61
- 2θ 30.17, intensity 100
- 2θ 33.54, intensity 27
- 2θ 36.95, intensity 26
- 2θ 39.35, intensity 21
- 2θ 40.95, intensity 22
- 2θ 47.54, intensity 27
- 2θ 48.77, intensity 24

Cell and atoms:
Lattice parameters (Å, degrees): 5.4611 7.4686 10.7186 90.00 90.00 90.00
Space group Pnma (No. 62)
Symmetry-distinct sites (fractional):
Li: 0.0528 0.2500 0.2219 x4
Li: 0.0623 0.7500 0.5471 x4
Li: 0.0874 0.2500 0.7125 x4
Li: 0.2048 0.0058 0.3467 x8
Cu: 0.0026 0.7500 0.0263 x4
H: 0.2322 0.5133 0.1081 x8
O: 0.1659 0.5436 0.6724 x8
O: 0.2276 0.7500 0.9037 x4
O: 0.2301 0.7500 0.3743 x4

Structure and computed XRD peak list of Er2Sc6O (the PBE geometry in Alexandria; Cu Kα, 1.54184 Å).
Lines closer than 0.1° are merged.

Peak list (12 most intense, 2θ = 10–80°, in order of rising 2θ)
- 2θ 18.74, intensity 14
- 2θ 18.98, intensity 27
- 2θ 26.79, intensity 34
- 2θ 26.96, intensity 17
- 2θ 33.04, intensity 100
- 2θ 38.01, intensity 19
- 2θ 38.50, intensity 36
- 2θ 47.53, intensity 14
- 2θ 55.21, intensity 24
- 2θ 55.59, intensity 12
- 2θ 65.53, intensity 13
- 2θ 66.21, intensity 25

Cell and atoms:
Lattice parameters (Å, degrees): 6.6134 6.6134 9.4700 90.00 90.00 90.00
Space group I4/mmm (No. 139)
Symmetry-distinct sites (fractional):
Er: 0.0000 0.5000 0.2500 x4
Sc: 0.0000 0.0000 0.2379 x4
Sc: 0.2410 0.2410 0.0000 x8
O: 0.0000 0.0000 0.0000 x2

Structure and computed XRD peak list of BaNb3NO7 (the PBE geometry in Alexandria; Cu Kα, 1.54184 Å).
Lines closer than 0.1° are merged.

Peak list (12 most intense, 2θ = 10–80°, in order of rising 2θ)
- 2θ 19.53, intensity 26
- 2θ 25.52, intensity 100
- 2θ 26.05, intensity 94
- 2θ 26.23, intensity 92
- 2θ 27.93, intensity 43
- 2θ 28.11, intensity 41
- 2θ 30.49, intensity 64
- 2θ 30.62, intensity 52
- 2θ 31.27, intensity 49
- 2θ 33.84, intensity 29
- 2θ 46.88, intensity 43
- 2θ 48.11, intensity 28

Cell and atoms:
Lattice parameters (Å, degrees): 21.1925 3.8762 9.1183 90.00 91.16 90.00
Space group Cm (No. 8)
Symmetry-distinct sites (fractional):
Ba: 0.0000 0.0000 0.0000 x2
Ba: 0.0370 0.0000 0.5054 x2
Nb: 0.1481 0.5000 0.1928 x2
Nb: 0.1502 0.5000 0.8147 x2
Nb: 0.2583 0.0000 0.9914 x2
Nb: 0.2762 0.5000 0.5049 x2
Nb: 0.3853 0.0000 0.3091 x2
Nb: 0.3905 0.0000 0.6787 x2
N: 0.1739 0.0000 0.8507 x2
N: 0.4377 0.0000 0.4999 x2
O: 0.0828 0.5000 0.3205 x2
O: 0.0825 0.5000 0.6846 x2
O: 0.0960 0.5000 0.0066 x2
O: 0.1669 0.0000 0.1687 x2
O: 0.2203 0.5000 0.3469 x2
O: 0.2195 0.5000 0.6533 x2
O: 0.2299 0.5000 0.0134 x2
O: 0.3040 0.0000 0.5034 x2
O: 0.3103 0.0000 0.1641 x2
O: 0.3162 0.0000 0.8481 x2
O: 0.3621 0.5000 0.3436 x2
O: 0.3617 0.5000 0.6593 x2
O: 0.4494 0.0000 0.1764 x2
O: 0.4542 0.0000 0.8198 x2

Structure and computed XRD peak list of Ta2VMo (the PBE geometry in Alexandria; Cu Kα, 1.54184 Å).
Lines closer than 0.1° are merged.

Peak list (12 most intense, 2θ = 10–80°, in order of rising 2θ)
- 2θ 19.62, intensity 2
- 2θ 27.86, intensity 21
- 2θ 34.26, intensity 1
- 2θ 39.80, intensity 100
- 2θ 49.28, intensity 7
- 2θ 53.54, intensity 1
- 2θ 57.43, intensity 6
- 2θ 57.62, intensity 11
- 2θ 65.03, intensity 3
- 2θ 65.18, intensity 6
- 2θ 72.17, intensity 11
- 2θ 72.30, intensity 23

Cell and atoms:
Lattice parameters (Å, degrees): 4.5250 4.5250 3.2091 90.00 90.00 90.00
Space group P4/mmm (No. 123)
Symmetry-distinct sites (fractional):
Ta: 0.0000 0.5000 0.0000 x2
V: 0.0000 0.0000 0.5000 x1
Mo: 0.5000 0.5000 0.5000 x1

Structure and computed XRD peak list of Li2Ga4Ir (the PBE geometry in Alexandria; Cu Kα, 1.54184 Å).
Lines closer than 0.1° are merged.

Peak list (12 most intense, 2θ = 10–80°, in order of rising 2θ)
- 2θ 16.48, intensity 100
- 2θ 23.01, intensity 32
- 2θ 28.43, intensity 51
- 2θ 28.91, intensity 14
- 2θ 36.76, intensity 16
- 2θ 36.89, intensity 46
- 2θ 37.89, intensity 44
- 2θ 43.92, intensity 40
- 2θ 44.25, intensity 83
- 2θ 44.80, intensity 16
- 2θ 52.96, intensity 13
- 2θ 58.84, intensity 14

Cell and atoms:
Lattice parameters (Å, degrees): 7.7317 7.7317 7.4849 90.00 90.00 90.00
Space group I-42d (No. 122)
Symmetry-distinct sites (fractional):
Li: 0.1059 0.2500 0.1250 x8
Ga: 0.0883 0.1745 0.7859 x16
Ir: 0.0000 0.0000 0.5000 x4

Structure and computed XRD peak list of Al5IrPt2 (the PBE geometry in Alexandria; Cu Kα, 1.54184 Å).
Lines closer than 0.1° are merged.

Peak list (12 most intense, 2θ = 10–80°, in order of rising 2θ)
- 2θ 24.69, intensity 100
- 2θ 24.81, intensity 50
- 2θ 34.64, intensity 67
- 2θ 40.39, intensity 17
- 2θ 43.03, intensity 46
- 2θ 43.42, intensity 24
- 2θ 43.61, intensity 33
- 2θ 50.21, intensity 34
- 2θ 50.35, intensity 13
- 2θ 50.64, intensity 18
- 2θ 71.25, intensity 16
- 2θ 74.07, intensity 12

Cell and atoms:
Lattice parameters (Å, degrees): 12.5085 5.6931 7.1784 90.00 90.00 90.00
Space group Pnma (No. 62)
Symmetry-distinct sites (fractional):
Al: 0.0022 0.2500 0.0908 x4
Al: 0.1329 0.5119 0.3347 x8
Al: 0.1546 0.2500 0.6773 x4
Al: 0.1918 0.7500 0.6780 x4
Ir: 0.0085 0.7500 0.5383 x4
Pt: 0.1713 0.5020 0.9837 x8